Calculated powder XRD pattern
Compound: Li4MnP2O9
Radiation: Cu Kα X-rays
Structure: the PBE+U geometry in Alexandria

The 10 most intense peaks (2θ from 15° to 90°), low angle first:
2θ (°), d (Å), intensity
19.1, 4.636, 55
19.3, 4.602, 28
26.4, 3.380, 40
28.0, 3.191, 42
28.6, 3.121, 39
29.1, 3.067, 100
36.4, 2.471, 27
36.6, 2.458, 24
36.8, 2.442, 32
53.8, 1.703, 29

Crystal structure
```
Li4MnP2O9
1.0
7.106 -3.405 0.000
7.106 3.405 0.000
-0.123 0.000 7.009
Li Mn P O
8 2 4 18
Cartesian
3.492 1.702 3.504
1.493 0.000 1.613
7.106 1.773 0.000
5.172 0.000 2.023
3.492 -1.702 3.504
8.918 0.000 4.986
7.106 -1.773 0.000
12.597 0.000 5.395
3.553 1.702 0.000
3.553 -1.702 0.000
1.679 0.000 4.961
5.548 0.000 5.308
8.542 0.000 1.701
12.411 0.000 2.048
4.481 2.101 1.657
0.358 0.000 5.731
1.702 0.000 3.448
5.147 1.291 6.154
3.359 0.000 0.743
4.816 0.000 3.964
9.609 2.101 5.352
8.943 1.291 0.855
7.025 0.000 1.668
7.065 0.000 5.341
5.147 -1.291 6.154
4.481 -2.101 1.657
9.274 0.000 3.044
10.731 0.000 6.266
8.943 -1.291 0.855
12.388 0.000 3.561
13.732 0.000 1.278
9.609 -2.101 5.352
```